Theoretical powder X-ray diffraction pattern
Compound: CuB3Mo4
Radiation: Cu Kα (weighted mean of Kα1 and Kα2)
Structure: a PBE-relaxed structure
Kinematic intensities with the Lorentz-polarization factor, no thermal factor.

Structure:
Unit cell a=3.122 b=3.122 c=23.227 alpha=90.00 beta=90.00 gamma=120.00
Sites, in units of the cell vectors:
Cu  0.333  0.667  0.250
Cu  0.667  0.333  0.750
B  0.000  0.000  0.000
B  0.000  0.000  0.500
B  0.333  0.667  0.613
B  0.333  0.667  0.887
B  0.667  0.333  0.113
B  0.667  0.333  0.387
Mo  0.000  0.000  0.162
Mo  0.000  0.000  0.338
Mo  0.000  0.000  0.662
Mo  0.000  0.000  0.838
Mo  0.333  0.667  0.057
Mo  0.333  0.667  0.443
Mo  0.667  0.333  0.557
Mo  0.667  0.333  0.943

Largest 12 diffraction maxima, sorted by position, 2θ = 10–90°:
2θ 33.36, rel. 25; 2θ 34.05, rel. 28; 2θ 36.66, rel. 35; 2θ 38.53, rel. 73; 2θ 38.77, rel. 30; 2θ 40.71, rel. 100; 2θ 55.19, rel. 17; 2θ 58.66, rel. 16; 2θ 59.19, rel. 43; 2θ 73.03, rel. 27; 2θ 74.13, rel. 14; 2θ 74.32, rel. 16

=====

Theoretical powder X-ray diffraction pattern
Compound: PrNd2Cu2B2N3
Radiation: Cu Kα (weighted mean of Kα1 and Kα2)
Structure: a PBE-relaxed structure
Kinematic intensities with the Lorentz-polarization factor, no thermal factor.

Structure:
Unit cell a=10.743 b=10.743 c=10.743 alpha=160.48 beta=160.48 gamma=27.74
Sites, in units of the cell vectors:
Pr  0.000  0.000  0.000
Nd  0.376  0.376  0.000
Nd  0.624  0.624  0.000
Cu  0.250  0.750  0.500
Cu  0.750  0.250  0.500
B  0.187  0.187  0.000
B  0.813  0.813  0.000
N  0.119  0.119  0.000
N  0.500  0.500  0.000
N  0.881  0.881  0.000

Largest 12 diffraction maxima, sorted by position, 2θ = 10–90°:
2θ 27.65, rel. 100; 2θ 32.64, rel. 83; 2θ 34.40, rel. 58; 2θ 34.84, rel. 39; 2θ 35.92, rel. 49; 2θ 39.01, rel. 43; 2θ 43.74, rel. 28; 2θ 49.76, rel. 23; 2θ 50.09, rel. 43; 2θ 58.17, rel. 27; 2θ 61.07, rel. 28; 2θ 62.18, rel. 40

=====

Theoretical powder X-ray diffraction pattern
Compound: TbY2Cu2B2N3
Radiation: Cu Kα (weighted mean of Kα1 and Kα2)
Structure: a PBE-relaxed structure
Kinematic intensities with the Lorentz-polarization factor, no thermal factor.

Structure:
Unit cell a=10.527 b=10.527 c=10.527 alpha=160.89 beta=160.89 gamma=27.15
Sites, in units of the cell vectors:
Tb  0.000  0.000  0.000
Y  0.379  0.379  0.000
Y  0.621  0.621  0.000
Cu  0.250  0.750  0.500
Cu  0.750  0.250  0.500
B  0.184  0.184  0.000
B  0.816  0.816  0.000
N  0.114  0.114  0.000
N  0.500  0.500  0.000
N  0.886  0.886  0.000

Largest 12 diffraction maxima, sorted by position, 2θ = 10–90°:
2θ 28.70, rel. 100; 2θ 33.72, rel. 96; 2θ 35.08, rel. 69; 2θ 36.35, rel. 33; 2θ 37.44, rel. 91; 2θ 40.54, rel. 23; 2θ 45.32, rel. 43; 2θ 52.36, rel. 48; 2θ 58.56, rel. 34; 2θ 60.80, rel. 26; 2θ 63.74, rel. 31; 2θ 64.59, rel. 43

=====

Theoretical powder X-ray diffraction pattern
Compound: Tb2YCu2B2N3
Radiation: Cu Kα (weighted mean of Kα1 and Kα2)
Structure: a PBE-relaxed structure
Kinematic intensities with the Lorentz-polarization factor, no thermal factor.

Structure:
Unit cell a=10.506 b=10.506 c=10.506 alpha=160.83 beta=160.83 gamma=27.25
Sites, in units of the cell vectors:
Tb  0.121  0.121  0.000
Tb  0.879  0.879  0.000
Y  0.500  0.500  0.000
Cu  0.250  0.750  0.500
Cu  0.750  0.250  0.500
B  0.316  0.316  0.000
B  0.684  0.684  0.000
N  0.000  0.000  0.000
N  0.386  0.386  0.000
N  0.614  0.614  0.000

Largest 12 diffraction maxima, sorted by position, 2θ = 10–90°:
2θ 25.83, rel. 29; 2θ 28.68, rel. 97; 2θ 33.73, rel. 100; 2θ 35.16, rel. 71; 2θ 36.31, rel. 43; 2θ 37.40, rel. 48; 2θ 40.51, rel. 86; 2θ 51.43, rel. 24; 2θ 52.29, rel. 50; 2θ 60.73, rel. 25; 2θ 63.68, rel. 33; 2θ 64.58, rel. 46

=====

Theoretical powder X-ray diffraction pattern
Compound: YTmCu2B2N2
Radiation: Cu Kα (weighted mean of Kα1 and Kα2)
Structure: a PBE-relaxed structure
Kinematic intensities with the Lorentz-polarization factor, no thermal factor.

Structure:
Unit cell a=3.478 b=3.478 c=7.687 alpha=90.00 beta=90.00 gamma=90.00
Sites, in units of the cell vectors:
Y  0.000  0.000  0.000
Tm  0.500  0.500  0.671
Cu  0.000  0.500  0.336
Cu  0.500  0.000  0.336
B  0.000  0.000  0.509
B  0.500  0.500  0.159
N  0.000  0.000  0.697
N  0.500  0.500  0.971

Largest 12 diffraction maxima, sorted by position, 2θ = 10–90°:
2θ 11.51, rel. 22; 2θ 28.16, rel. 97; 2θ 34.79, rel. 74; 2θ 35.02, rel. 63; 2θ 38.44, rel. 100; 2θ 43.70, rel. 66; 2θ 52.64, rel. 44; 2θ 54.56, rel. 22; 2θ 60.76, rel. 25; 2θ 61.21, rel. 28; 2θ 64.65, rel. 25; 2θ 64.80, rel. 40

=====

Theoretical powder X-ray diffraction pattern
Compound: TaNbCu2B2
Radiation: Cu Kα (weighted mean of Kα1 and Kα2)
Structure: a PBE-relaxed structure
Kinematic intensities with the Lorentz-polarization factor, no thermal factor.

Structure:
Unit cell a=3.047 b=7.181 c=7.181 alpha=26.55 beta=90.00 gamma=90.00
Sites, in units of the cell vectors:
Ta  0.000  0.000  0.000
Nb  0.500  0.184  0.184
Cu  0.000  0.800  0.800
Cu  0.500  0.386  0.386
B  0.000  0.623  0.623
B  0.500  0.560  0.560

Largest 12 diffraction maxima, sorted by position, 2θ = 10–90°:
2θ 12.67, rel. 28; 2θ 27.80, rel. 53; 2θ 32.05, rel. 35; 2θ 38.65, rel. 21; 2θ 39.23, rel. 65; 2θ 40.84, rel. 100; 2θ 42.39, rel. 86; 2θ 44.94, rel. 30; 2θ 49.23, rel. 21; 2θ 70.29, rel. 22; 2θ 74.36, rel. 27; 2θ 76.91, rel. 28

=====

Theoretical powder X-ray diffraction pattern
Compound: Cu5NiB2
Radiation: Cu Kα (weighted mean of Kα1 and Kα2)
Structure: a PBE-relaxed structure
Kinematic intensities with the Lorentz-polarization factor, no thermal factor.

Structure:
Unit cell a=3.875 b=3.875 c=5.494 alpha=90.00 beta=90.00 gamma=90.00
Sites, in units of the cell vectors:
Cu  0.000  0.000  0.000
Cu  0.000  0.500  0.250
Cu  0.000  0.500  0.750
Cu  0.500  0.000  0.250
Cu  0.500  0.000  0.750
Ni  0.500  0.500  0.500
B  0.000  0.000  0.500
B  0.500  0.500  0.000

Largest 12 diffraction maxima, sorted by position, 2θ = 10–90°:
2θ 28.18, rel. 21; 2θ 32.65, rel. 12; 2θ 46.85, rel. 100; 2θ 55.49, rel. 3; 2θ 55.60, rel. 6; 2θ 58.27, rel. 3; 2θ 68.28, rel. 5; 2θ 68.48, rel. 10; 2θ 75.56, rel. 3; 2θ 77.94, rel. 2; 2θ 86.94, rel. 10; 2θ 87.07, rel. 19

=====

Theoretical powder X-ray diffraction pattern
Compound: ScCuNiB
Radiation: Cu Kα (weighted mean of Kα1 and Kα2)
Structure: a PBE-relaxed structure
Kinematic intensities with the Lorentz-polarization factor, no thermal factor.

Structure:
Unit cell a=4.076 b=4.076 c=4.076 alpha=60.00 beta=60.00 gamma=60.00
Sites, in units of the cell vectors:
Sc  0.000  0.000  0.000
Cu  0.750  0.750  0.750
Ni  0.250  0.250  0.250
B  0.500  0.500  0.500

Largest 10 diffraction maxima, sorted by position, 2θ = 10–90°:
2θ 26.79, rel. 11; 2θ 31.03, rel. 27; 2θ 44.45, rel. 100; 2θ 52.66, rel. 5; 2θ 55.20, rel. 7; 2θ 64.68, rel. 15; 2θ 71.32, rel. 2; 2θ 73.47, rel. 8; 2θ 81.86, rel. 29; 2θ 88.04, rel. 1